# MgOsBr2
Calculated powder X-ray diffraction pattern, Cu Kα. Input: a cell relaxed with GGA-PBE.
Kinematic intensities with the Lorentz-polarization factor, no thermal factor.

Main lines, by intensity (15° ≤ 2θ ≤ 90°):
two_theta, I/Imax
22.70, 100
21.62, 82
35.24, 65
35.96, 48
29.94, 44
44.87, 42

Crystal structure
Cell: 4.174 3.241 7.770 Å, 90.00 100.10 90.00°
Space group Pm (No. 6)
Unique sites:
Mg1 0.000 0.000 0.000
Os1 0.460 0.500 0.897
Br1 0.352 0.000 0.655
Br2 0.677 0.500 0.219

=====

# MgP2Br8
Calculated powder X-ray diffraction pattern, Cu Kα. Input: a cell relaxed with GGA-PBE.
Kinematic intensities with the Lorentz-polarization factor, no thermal factor.

Main lines, by intensity (15° ≤ 2θ ≤ 90°):
two_theta, I/Imax
33.13, 100
25.09, 77
32.83, 76
30.50, 72
17.48, 67
26.57, 50

Crystal structure
Cell: 9.296 13.621 8.586 Å, 90.00 104.41 90.00°
Space group C2/m (No. 12)
Unique sites:
Mg1 0.000 0.000 0.000
P1 0.214 0.000 0.717
Br1 0.047 0.500 0.287
Br2 0.149 0.000 0.279
Br3 0.213 0.129 0.892